Computed X-ray diffraction stick pattern
Compound: Cs3TeSe
Radiation: Cu Ka
Structure: DFT lattice parameters and positions (PBE)

Structure:
a = 9.819 Å, b = 9.819 Å, c = 5.929 Å
α = 90.00°, β = 90.00°, γ = 120.00°
Sites, in units of the cell vectors:
Cs  0.039  0.620  0.000
Cs  0.283  0.033  0.501
Cs  0.380  0.418  0.000
Cs  0.582  0.961  0.000
Cs  0.751  0.717  0.501
Cs  0.967  0.249  0.501
Te  0.000  0.000  0.001
Te  0.333  0.667  0.501
Se  0.667  0.333  0.295
Se  0.667  0.333  0.704

Principal peaks in the range 10 to 90 degrees two-theta, in order of rising 2θ:
23.53°, intensity 100, (2 -1 1)
25.78°, intensity 88, (0 2 1)
27.76°, intensity 48, (1 2 0)
30.15°, intensity 24, (0 0 2)
31.56°, intensity 46, (3 0 0)
31.67°, intensity 32, (2 1 1)
41.44°, intensity 28, (3 -2 2)
44.21°, intensity 14, (3 0 2)
49.15°, intensity 48, (5 -2 1)
49.38°, intensity 16, (4 -3 2)
50.95°, intensity 13, (2 0 3)
67.46°, intensity 15, (5 -2 3)